# K3TbF6
Simulated X-ray diffraction stick pattern, a wavelength of 1.5418 Å. Input: a cell relaxed with GGA-PBE.
Intensities are scaled so that the largest is 100.

Top 10 peaks for 10 to 80 degrees two-theta, in order of falling intensity:
| 2θ/deg | d [Å] | intensity |
| --- | --- | --- |
| 16.5 | 5.379 | 100 |
| 27.3 | 3.262 | 99 |
| 27.5 | 3.244 | 97 |
| 19.2 | 4.623 | 78 |
| 39.0 | 2.312 | 60 |
| 16.9 | 5.246 | 48 |
| 26.8 | 3.324 | 48 |
| 27.7 | 3.217 | 42 |
| 47.7 | 1.905 | 42 |
| 48.7 | 1.870 | 41 |

```
20
Lattice="6.435 0.000 0.000 0.000 6.648 0.000 -6.365 0.000 9.156" Properties=species:S:1:pos:R:3 pbc="T T T"
K 0.000 0.000 0.000
K -3.183 3.324 4.578
K -3.248 0.325 6.832
K -0.066 2.999 2.254
K 0.135 3.648 6.902
K 3.317 6.323 2.324
Tb 0.035 0.000 4.578
Tb 3.217 3.324 0.000
F -1.780 1.157 4.114
F -4.963 2.167 8.692
F -1.047 4.822 3.959
F -4.229 5.150 8.537
F 0.733 0.368 2.514
F -2.450 2.956 7.092
F 2.519 3.692 2.064
F -0.663 6.280 6.641
F 4.299 1.498 0.619
F 1.116 1.826 5.197
F 5.032 4.481 0.464
F 1.850 5.491 5.042
```

***

# ZnPPt5
Simulated X-ray diffraction stick pattern, a wavelength of 1.5418 Å. Input: a cell relaxed with GGA-PBE.
Intensities are scaled so that the largest is 100.

Top 10 peaks for 10 to 80 degrees two-theta, in order of falling intensity:
| 2θ/deg | d [Å] | intensity |
| --- | --- | --- |
| 41.5 | 2.175 | 100 |
| 46.2 | 1.964 | 45 |
| 34.7 | 2.582 | 33 |
| 32.2 | 2.778 | 24 |
| 61.7 | 1.502 | 21 |
| 38.6 | 2.332 | 20 |
| 76.2 | 1.250 | 18 |
| 67.4 | 1.389 | 15 |
| 25.5 | 3.498 | 13 |
| 72.3 | 1.306 | 10 |

```
7
Lattice="3.929 0.000 0.000 0.000 3.929 0.000 0.000 0.000 6.996" Properties=species:S:1:pos:R:3 pbc="T T T"
Zn 0.000 0.000 0.000
P 1.964 1.964 3.498
Pt 0.000 1.964 2.041
Pt 0.000 1.964 4.954
Pt 1.964 0.000 2.041
Pt 1.964 0.000 4.954
Pt 1.964 1.964 0.000
```

***

# Ca2CdGa
Simulated X-ray diffraction stick pattern, a wavelength of 1.5418 Å. Input: a cell relaxed with GGA-PBE.
Intensities are scaled so that the largest is 100.

Top 10 peaks for 10 to 80 degrees two-theta, in order of falling intensity:
| 2θ/deg | d [Å] | intensity |
| --- | --- | --- |
| 33.7 | 2.658 | 100 |
| 60.3 | 1.535 | 34 |
| 48.4 | 1.879 | 17 |
| 23.7 | 3.759 | 17 |
| 70.9 | 1.329 | 10 |
| 54.6 | 1.681 | 7 |
| 41.6 | 2.170 | 5 |
| 20.5 | 4.340 | 5 |
| 75.9 | 1.253 | 4 |
| 39.8 | 2.267 | 3 |

```
4
Lattice="0.000 3.759 3.759 3.759 0.000 3.759 3.759 3.759 0.000" Properties=species:S:1:pos:R:3 pbc="T T T"
Ca 1.879 1.879 1.879
Ca 5.638 5.638 5.638
Cd 0.000 0.000 0.000
Ga 3.759 3.759 3.759
```

***

# Cs
Simulated X-ray diffraction stick pattern, a wavelength of 1.5418 Å. Input: a cell relaxed with GGA-PBE.
Intensities are scaled so that the largest is 100.

Top 10 peaks for 10 to 80 degrees two-theta, in order of falling intensity:
| 2θ/deg | d [Å] | intensity |
| --- | --- | --- |
| 21.2 | 4.182 | 100 |
| 19.4 | 4.580 | 41 |
| 38.6 | 2.330 | 37 |
| 20.0 | 4.439 | 34 |
| 32.7 | 2.737 | 30 |
| 35.8 | 2.510 | 26 |
| 24.1 | 3.700 | 25 |
| 39.3 | 2.290 | 20 |
| 52.1 | 1.756 | 18 |
| 53.1 | 1.724 | 15 |

```
4
Lattice="5.474 0.000 0.000 -2.737 4.741 0.000 0.000 0.000 17.756" Properties=species:S:1:pos:R:3 pbc="T T T"
Cs 0.000 0.000 0.000
Cs 0.000 0.000 8.878
Cs 0.000 3.160 4.439
Cs 2.737 1.580 13.317
```

***

# PdC4Br4N2
Simulated X-ray diffraction stick pattern, a wavelength of 1.5418 Å. Input: a cell relaxed with GGA-PBE.
Intensities are scaled so that the largest is 100.

Top 10 peaks for 10 to 80 degrees two-theta, in order of falling intensity:
| 2θ/deg | d [Å] | intensity |
| --- | --- | --- |
| 11.5 | 7.713 | 100 |
| 16.1 | 5.504 | 87 |
| 15.6 | 5.664 | 74 |
| 30.3 | 2.946 | 58 |
| 21.1 | 4.211 | 58 |
| 34.9 | 2.571 | 40 |
| 27.5 | 3.239 | 40 |
| 32.8 | 2.733 | 31 |
| 41.2 | 2.189 | 28 |
| 26.7 | 3.333 | 27 |

```
22
Lattice="7.713 -3.449 0.000 7.713 3.449 0.000 0.000 0.000 11.328" Properties=species:S:1:pos:R:3 pbc="T T T"
Pd 0.000 0.000 0.000
Pd 7.713 0.000 5.664
C 1.847 0.235 4.435
C 1.847 -0.235 6.893
C 5.867 0.235 1.229
C 5.867 -0.235 10.099
C 9.560 0.235 1.229
C 9.560 -0.235 10.099
C 13.580 0.235 4.435
C 13.580 -0.235 6.893
Br 2.456 0.000 0.000
Br 7.713 1.738 1.730
Br 7.713 1.712 7.394
Br 5.258 0.000 5.664
Br 10.169 0.000 5.664
Br 7.713 -1.712 3.934
Br 7.713 -1.738 9.598
Br 12.971 0.000 0.000
N 1.702 0.000 5.664
N 6.012 0.000 0.000
N 9.415 0.000 0.000
N 13.725 0.000 5.664
```

***

# YB4Mo
Simulated X-ray diffraction stick pattern, a wavelength of 1.5418 Å. Input: a cell relaxed with GGA-PBE.
Intensities are scaled so that the largest is 100.

Top 10 peaks for 10 to 80 degrees two-theta, in order of falling intensity:
| 2θ/deg | d [Å] | intensity |
| --- | --- | --- |
| 39.6 | 2.275 | 100 |
| 24.5 | 3.628 | 80 |
| 30.6 | 2.921 | 75 |
| 45.5 | 1.993 | 46 |
| 42.5 | 2.128 | 35 |
| 37.7 | 2.385 | 31 |
| 34.1 | 2.627 | 25 |
| 50.3 | 1.814 | 22 |
| 60.0 | 1.541 | 22 |
| 37.0 | 2.429 | 20 |

```
24
Lattice="6.039 0.000 0.000 0.000 11.669 0.000 0.000 0.000 3.628" Properties=species:S:1:pos:R:3 pbc="T T T"
Y 0.766 1.749 0.000
Y 2.253 7.583 0.000
Y 3.786 4.086 0.000
Y 5.272 9.921 0.000
B 0.143 8.092 1.814
B 0.688 6.388 1.814
B 0.806 11.297 1.814
B 1.288 9.497 1.814
B 1.732 3.663 1.814
B 2.213 5.463 1.814
B 2.332 0.554 1.814
B 2.876 2.257 1.814
B 3.163 9.412 1.814
B 3.707 11.116 1.814
B 3.825 6.207 1.814
B 4.307 8.007 1.814
B 4.751 2.172 1.814
B 5.233 0.372 1.814
B 5.351 5.281 1.814
B 5.896 3.577 1.814
Mo 0.783 4.859 0.000
Mo 2.237 10.693 0.000
Mo 3.802 0.976 0.000
Mo 5.256 6.810 0.000
```

***

# SiN2F6
Simulated X-ray diffraction stick pattern, a wavelength of 1.5418 Å. Input: a cell relaxed with GGA-PBE.
Intensities are scaled so that the largest is 100.

Top 10 peaks for 10 to 80 degrees two-theta, in order of falling intensity:
| 2θ/deg | d [Å] | intensity |
| --- | --- | --- |
| 45.2 | 2.008 | 100 |
| 17.8 | 4.975 | 64 |
| 20.2 | 4.388 | 63 |
| 27.1 | 3.291 | 48 |
| 55.9 | 1.645 | 36 |
| 36.1 | 2.487 | 23 |
| 71.3 | 1.323 | 16 |
| 75.0 | 1.267 | 15 |
| 41.1 | 2.194 | 9 |
| 58.7 | 1.574 | 8 |

```
9
Lattice="5.067 0.000 0.000 -2.534 4.388 0.000 0.000 0.000 4.975" Properties=species:S:1:pos:R:3 pbc="T T T"
Si 0.000 0.000 0.000
N 0.000 2.926 3.693
N 2.534 1.463 1.282
F 0.000 1.388 1.011
F -1.332 3.694 1.011
F 1.202 0.694 3.963
F 1.332 3.694 1.011
F 3.865 0.694 3.963
F 2.534 3.001 3.963
```